For KCd2P, DFT lattice parameters and positions (GGA-PBE) gives the calculated powder diffraction line list in this record (λ = 1.5418 Å (Cu Kα)).

Peak list (10 most intense, 2θ = 10–90°, sorted by position)
| d/Å | I/Imax | (hkl) |
| --- | --- | --- |
| 4.599 | 26 | 0 0 2 |
| 3.272 | 23 | 1 1 0 |
| 2.666 | 100 | 1 1 2 |
| 2.313 | 33 | 2 0 0 |
| 2.299 | 16 | 0 0 4 |
| 2.067 | 13 | 2 0 2 |
| 1.636 | 11 | 2 2 0 |
| 1.631 | 21 | 2 0 4 |
| 1.394 | 24 | 3 1 2 |
| 1.388 | 12 | 1 1 6 |

Structure:
Cell: 4.627 4.627 9.197 Å, 90.00 90.00 90.00°
Sites, in units of the cell vectors:
K1 0.000 0.000 0.000
K2 0.500 0.500 0.500
Cd1 0.000 0.500 0.250
Cd2 0.000 0.500 0.750
Cd3 0.500 0.000 0.250
Cd4 0.500 0.000 0.750
P1 0.000 0.000 0.500
P2 0.500 0.500 0.000